# Na2PuTlF6
Simulated powder X-ray diffraction pattern, Cu Kα (λ = 1.5418 Å). Input: DFT lattice parameters and positions (PBE).
Peak positions follow from Bragg's law for the DFT cell and can differ from measured ones.

Largest 10 diffraction maxima, most intense first, 10° ≤ 2θ ≤ 90°:
d [Å]	intensity	(hkl)
4.456	100.0	0 1 2
3.219	60.7	1 0 4
3.087	52.4	1 1 0
2.027	31.2	2 -1 6
2.537	29.0	2 0 2
1.807	26.9	3 -1 4
2.228	25.6	0 2 4
1.960	22.6	3 -2 2
1.782	17.6	3 0 0
1.544	14.1	2 2 0

Structure:
Cell: 6.1734 6.1734 16.1306 Å, 90.00 90.00 120.00°
Space group R3 (No. 146, hexagonal axes)
Symmetry-distinct sites (fractional):
Na 0.0000 0.0000 0.0000 (multiplicity 3)
Na 0.0000 0.0000 0.4891 (multiplicity 3)
Pu 0.0000 0.0000 0.6998 (multiplicity 3)
Tl 0.0000 0.0000 0.2202 (multiplicity 3)
F 0.0055 0.3243 0.0894 (multiplicity 9)
F 0.0351 0.5938 0.2680 (multiplicity 9)


# PmZn6Au2
Simulated powder X-ray diffraction pattern, Cu Kα (λ = 1.5418 Å). Input: DFT lattice parameters and positions (PBE).
Peak positions follow from Bragg's law for the DFT cell and can differ from measured ones.

Largest 10 diffraction maxima, most intense first, 10° ≤ 2θ ≤ 90°:
d [Å]	intensity	(hkl)
2.180	100.0	1 1 3
2.615	61.5	1 0 3
1.971	55.4	2 0 0
2.461	44.2	1 1 2
2.694	40.1	1 1 1
1.574	27.0	2 1 3
1.463	25.5	2 1 4
2.788	25.4	1 1 0
3.943	23.1	1 0 0
1.174	20.7	3 1 3

Structure:
Cell: 3.9428 3.9428 10.4803 Å, 90.00 90.00 90.00°
Space group P4/mmm (No. 123)
Symmetry-distinct sites (fractional):
Pm 0.0000 0.0000 0.0000 (multiplicity 1)
Zn 0.0000 0.0000 0.5000 (multiplicity 1)
Zn 0.0000 0.5000 0.3112 (multiplicity 4)
Zn 0.5000 0.5000 0.5000 (multiplicity 1)
Au 0.5000 0.5000 0.1357 (multiplicity 2)


# CsSnBr3
Simulated powder X-ray diffraction pattern, Cu Kα (λ = 1.5418 Å). Input: DFT lattice parameters and positions (PBE).
Peak positions follow from Bragg's law for the DFT cell and can differ from measured ones.

Largest 10 diffraction maxima, most intense first, 10° ≤ 2θ ≤ 90°:
d [Å]	intensity	(hkl)
3.791	100.0	1 1 1
2.671	57.6	1 2 2
3.180	44.6	0 0 4
6.521	35.9	0 1 1
3.261	30.1	0 2 2
2.142	27.2	1 1 5
2.192	24.1	1 3 1
2.328	21.3	2 0 0
1.879	19.4	2 0 4
2.943	18.9	1 2 0

Structure:
Cell: 4.6569 7.5960 12.7187 Å, 90.00 90.00 90.00°
Space group Amm2 (No. 38)
Symmetry-distinct sites (fractional):
Cs 0.0000 0.0000 0.0000 (multiplicity 2)
Sn 0.5000 0.0000 0.2764 (multiplicity 2)
Br 0.0000 0.2465 0.7601 (multiplicity 4)
Br 0.5000 0.0000 0.4832 (multiplicity 2)


# Te3Rh5
Simulated powder X-ray diffraction pattern, Cu Kα (λ = 1.5418 Å). Input: DFT lattice parameters and positions (PBE).
Peak positions follow from Bragg's law for the DFT cell and can differ from measured ones.

Largest 10 diffraction maxima, most intense first, 10° ≤ 2θ ≤ 90°:
d [Å]	intensity	(hkl)
2.355	100.0	2 2 1
2.114	22.1	0 0 2
2.344	16.1	0 4 0
1.262	13.2	2 2 3
1.780	11.3	4 0 0
2.862	10.6	1 3 0
2.370	9.5	1 3 1
1.362	9.2	4 0 2
1.570	9.1	0 4 2
1.110	6.9	6 2 1

Structure:
Cell: 7.1202 9.3774 4.2282 Å, 90.00 90.00 90.00°
Space group Cmmm (No. 65)
Symmetry-distinct sites (fractional):
Te 0.0000 0.0000 0.0000 (multiplicity 2)
Te 0.0000 0.3116 0.5000 (multiplicity 4)
Rh 0.0000 0.5000 0.0000 (multiplicity 2)
Rh 0.2200 0.0000 0.5000 (multiplicity 4)
Rh 0.2500 0.2500 0.0000 (multiplicity 4)


# Ca3Nd2NpN6
Simulated powder X-ray diffraction pattern, Cu Kα (λ = 1.5418 Å). Input: DFT lattice parameters and positions (PBE).
Peak positions follow from Bragg's law for the DFT cell and can differ from measured ones.

Largest 10 diffraction maxima, most intense first, 10° ≤ 2θ ≤ 90°:
d [Å]	intensity	(hkl)
2.509	100.0	1 3 1
2.906	92.6	2 0 0
5.740	79.8	0 0 1
3.039	48.2	1 3 0
1.783	33.9	3 3 -1
1.766	32.8	2 0 2
2.870	30.0	0 0 2
1.514	28.4	3 3 -3
2.299	21.0	2 0 1
1.702	20.6	0 6 1

Structure:
Cell: 6.1710 10.7034 6.1007 Å, 90.00 109.80 90.00°
Space group C2/m (No. 12)
Symmetry-distinct sites (fractional):
Ca 0.0000 0.0000 0.0000 (multiplicity 2)
Ca 0.0000 0.3392 0.0000 (multiplicity 4)
Nd 0.0000 0.1673 0.5000 (multiplicity 4)
Np 0.0000 0.5000 0.5000 (multiplicity 2)
N 0.2228 0.3515 0.7240 (multiplicity 8)
N 0.2231 0.5000 0.2844 (multiplicity 4)


# LiTe2Br8
Simulated powder X-ray diffraction pattern, Cu Kα (λ = 1.5418 Å). Input: DFT lattice parameters and positions (PBE).
Peak positions follow from Bragg's law for the DFT cell and can differ from measured ones.

Largest 10 diffraction maxima, most intense first, 10° ≤ 2θ ≤ 90°:
d [Å]	intensity	(hkl)
1.757	100.0	2 2 2
3.771	99.3	2 0 0
2.177	88.0	2 2 0
3.185	81.5	2 0 1
2.975	70.5	0 0 2
4.672	64.2	1 0 1
2.336	57.3	2 0 2
4.354	46.8	1 1 0
2.571	42.7	2 1 1
1.158	27.3	6 0 2

Structure:
Cell: 8.7087 8.7087 5.9505 Å, 90.00 90.00 120.00°
Space group P-3 (No. 147)
Symmetry-distinct sites (fractional):
Li 0.0000 0.0000 0.0000 (multiplicity 1)
Te 0.3333 0.6667 0.2238 (multiplicity 2)
Br 0.1575 0.3169 0.2561 (multiplicity 6)
Br 0.3333 0.6667 0.7494 (multiplicity 2)


# TmZn11Co
Simulated powder X-ray diffraction pattern, Cu Kα (λ = 1.5418 Å). Input: DFT lattice parameters and positions (PBE).
Peak positions follow from Bragg's law for the DFT cell and can differ from measured ones.

Largest 10 diffraction maxima, most intense first, 10° ≤ 2θ ≤ 90°:
d [Å]	intensity	(hkl)
2.206	100.0	0 4 2
2.192	78.1	2 2 -2
2.214	55.7	1 5 0
2.538	48.3	2 0 -1
2.551	32.2	1 3 1
2.202	28.6	1 1 2
1.972	24.4	2 4 -1
1.270	18.0	2 6 -4
1.393	17.8	3 5 -1
1.267	14.7	4 0 -2

Structure:
Cell: 5.0709 12.5557 6.6906 Å, 90.00 111.88 90.00°
Space group C2/m (No. 12)
Symmetry-distinct sites (fractional):
Tm 0.0000 0.0000 0.0000 (multiplicity 2)
Zn 0.0000 0.5000 0.5000 (multiplicity 2)
Zn 0.1164 0.3941 0.2183 (multiplicity 8)
Zn 0.1598 0.1703 0.3575 (multiplicity 8)
Zn 0.2500 0.2500 0.0000 (multiplicity 4)
Co 0.0000 0.0000 0.5000 (multiplicity 2)